No. 1
Structure and simulated powder diffraction line list of La12Cd3N4 (a DFT-relaxed cell (GGA-PBE, Alexandria); λ = 1.5418 Å (Cu Kα)).
Neutral-atom scattering factors, no anomalous dispersion.

Cell and atoms:
```
data_La12Cd3N4
_chemical_formula_sum 'La24 Cd6 N8'
_symmetry_space_group_name_H-M 'I m -3 m'
_symmetry_Int_Tables_number 229
_symmetry_space_group_name_Hall '-I 4 2 3'
_cell_length_a 10.2620
_cell_length_b 10.2620
_cell_length_c 10.2620
_cell_angle_alpha 90.00
_cell_angle_beta 90.00
_cell_angle_gamma 90.00
loop_
_atom_site_label
_atom_site_fract_x
_atom_site_fract_y
_atom_site_fract_z
La1 0.0000 0.2522 0.2522
Cd1 0.0000 0.0000 0.5000
N1 0.2500 0.2500 0.2500
```

Top 10 peaks for 15° ≤ 2θ ≤ 90°, in order of falling intensity:
h k l, Position (°2θ), I/Imax
2 2 2, 30.17, 100
4 0 0, 34.97, 57
6 2 2, 59.78, 43
4 4 0, 50.30, 40
8 4 0, 84.43, 17
6 6 2, 81.83, 17
4 4 4, 62.73, 13
8 0 0, 73.88, 6
2 0 0, 17.28, 6
4 2 0, 39.26, 3

---

No. 2
Structure and simulated powder diffraction line list of La6Cd2RuN (a DFT-relaxed cell (GGA-PBE, Alexandria); λ = 1.5418 Å (Cu Kα)).
Neutral-atom scattering factors, no anomalous dispersion.

Cell and atoms:
```
data_La6Cd2RuN
_chemical_formula_sum 'La6 Cd2 Ru1 N1'
_symmetry_space_group_name_H-M 'P -1'
_symmetry_Int_Tables_number 2
_symmetry_space_group_name_Hall '-P 1'
_cell_length_a 7.4270
_cell_length_b 7.4370
_cell_length_c 7.4436
_cell_angle_alpha 61.30
_cell_angle_beta 61.17
_cell_angle_gamma 61.46
loop_
_atom_site_label
_atom_site_fract_x
_atom_site_fract_y
_atom_site_fract_z
La1 0.1674 0.3114 0.2599
La2 0.2464 0.8284 0.1920
La3 0.3069 0.7634 0.6725
Cd1 0.2442 0.2418 0.7445
Ru1 0.5000 0.5000 0.0000
N1 0.0000 0.0000 0.5000
```

Top 10 peaks for 15° ≤ 2θ ≤ 90°, in order of falling intensity:
h k l, Position (°2θ), I/Imax
0 0 2, 28.94, 100
2 0 2, 33.72, 78
0 2 1, 27.79, 62
2 2 2, 29.73, 49
2 2 0, 33.87, 36
2 2 4, 48.99, 26
2 1 0, 27.91, 24
1 -2 0, 36.51, 20
-2 1 2, 50.44, 18
2 -2 1, 50.27, 15

---

No. 3
Structure and simulated powder diffraction line list of LaCdSbN (a DFT-relaxed cell (GGA-PBE, Alexandria); λ = 1.5418 Å (Cu Kα)).
Neutral-atom scattering factors, no anomalous dispersion.

Cell and atoms:
```
data_LaCdSbN
_chemical_formula_sum 'La2 Cd2 Sb2 N2'
_symmetry_space_group_name_H-M 'I 4 m m'
_symmetry_Int_Tables_number 107
_symmetry_space_group_name_Hall 'I 4 -2'
_cell_length_a 3.4844
_cell_length_b 3.4844
_cell_length_c 15.6857
_cell_angle_alpha 90.00
_cell_angle_beta 90.00
_cell_angle_gamma 90.00
loop_
_atom_site_label
_atom_site_fract_x
_atom_site_fract_y
_atom_site_fract_z
La1 0.0000 0.0000 0.0000
Cd1 0.0000 0.0000 0.3263
Sb1 0.0000 0.0000 0.6755
N1 0.0000 0.0000 0.5376
```

Top 10 peaks for 15° ≤ 2θ ≤ 90°, in order of falling intensity:
h k l, Position (°2θ), I/Imax
1 0 3, 30.84, 100
1 1 0, 36.47, 37
2 1 3, 62.16, 26
1 1 6, 50.93, 25
0 0 6, 34.30, 19
1 0 9, 59.28, 15
2 0 0, 52.53, 12
2 0 6, 64.25, 12
2 1 9, 83.16, 11
3 1 0, 88.80, 6

---

No. 4
Structure and simulated powder diffraction line list of La4CdSbN (a DFT-relaxed cell (GGA-PBE, Alexandria); λ = 1.5418 Å (Cu Kα)).
Neutral-atom scattering factors, no anomalous dispersion.

Cell and atoms:
```
data_La4CdSbN
_chemical_formula_sum 'La16 Cd4 Sb4 N4'
_symmetry_space_group_name_H-M 'C m c m'
_symmetry_Int_Tables_number 63
_symmetry_space_group_name_Hall '-C 2c 2'
_cell_length_a 7.1071
_cell_length_b 16.5344
_cell_length_c 7.1172
_cell_angle_alpha 90.00
_cell_angle_beta 90.00
_cell_angle_gamma 90.00
loop_
_atom_site_label
_atom_site_fract_x
_atom_site_fract_y
_atom_site_fract_z
La1 0.0000 0.0866 0.2500
La2 0.0000 0.4131 0.2500
La3 0.2500 0.2500 0.0000
Cd1 0.0000 0.1138 0.7500
Sb1 0.0000 0.3902 0.7500
N1 0.0000 0.2390 0.2500
```

Top 10 peaks for 15° ≤ 2θ ≤ 90°, in order of falling intensity:
h k l, Position (°2θ), I/Imax
2 4 0, 33.23, 100
2 2 0, 27.30, 74
2 0 2, 35.71, 64
2 6 2, 49.03, 43
0 6 0, 32.47, 41
4 4 2, 62.58, 32
4 6 0, 62.12, 19
4 2 2, 59.16, 17
2 0 0, 25.04, 16
2 10 0, 61.89, 15

---

No. 5
Structure and simulated powder diffraction line list of NaLaCd11 (a DFT-relaxed cell (GGA-PBE, Alexandria); λ = 1.5418 Å (Cu Kα)).
Neutral-atom scattering factors, no anomalous dispersion.

Cell and atoms:
```
data_NaLaCd11
_chemical_formula_sum 'Na2 La2 Cd22'
_symmetry_space_group_name_H-M 'C 1 2/m 1'
_symmetry_Int_Tables_number 12
_symmetry_space_group_name_Hall '-C 2y'
_cell_length_a 6.0457
_cell_length_b 14.0573
_cell_length_c 7.8186
_cell_angle_alpha 90.00
_cell_angle_beta 112.46
_cell_angle_gamma 90.00
loop_
_atom_site_label
_atom_site_fract_x
_atom_site_fract_y
_atom_site_fract_z
Na1 0.0000 0.0000 0.0000
La1 0.0000 0.5000 0.5000
Cd1 0.0000 0.5000 0.0000
Cd2 0.1060 0.1065 0.7134
Cd3 0.1704 0.3226 0.8493
Cd4 0.2500 0.2500 0.5000
```

Top 10 peaks for 15° ≤ 2θ ≤ 90°, in order of falling intensity:
h k l, Position (°2θ), I/Imax
1 5 0, 35.76, 100
0 4 2, 35.64, 97
1 3 -2, 30.46, 92
1 1 2, 34.93, 64
2 2 -2, 34.66, 63
2 2 0, 34.55, 60
2 4 -1, 39.32, 51
2 0 -1, 29.55, 46
1 1 -3, 35.07, 36
0 2 3, 39.54, 35

---

No. 6
Structure and simulated powder diffraction line list of NaLaCdPt2 (a DFT-relaxed cell (GGA-PBE, Alexandria); λ = 1.5418 Å (Cu Kα)).
Neutral-atom scattering factors, no anomalous dispersion.

Cell and atoms:
```
data_NaLaCdPt2
_chemical_formula_sum 'Na1 La1 Cd1 Pt2'
_symmetry_space_group_name_H-M 'P 4/m m m'
_symmetry_Int_Tables_number 123
_symmetry_space_group_name_Hall '-P 4 2'
_cell_length_a 5.0230
_cell_length_b 5.0230
_cell_length_c 4.7073
_cell_angle_alpha 90.00
_cell_angle_beta 90.00
_cell_angle_gamma 90.00
loop_
_atom_site_label
_atom_site_fract_x
_atom_site_fract_y
_atom_site_fract_z
Na1 0.0000 0.0000 0.0000
La1 0.5000 0.5000 0.5000
Cd1 0.0000 0.0000 0.5000
Pt1 0.0000 0.5000 0.0000
```

Top 10 peaks for 15° ≤ 2θ ≤ 90°, in order of falling intensity:
h k l, Position (°2θ), I/Imax
1 1 1, 31.56, 100
2 0 0, 35.75, 42
3 1 1, 61.62, 30
2 0 2, 53.35, 27
0 0 2, 38.24, 17
2 2 0, 51.46, 15
2 2 2, 65.89, 14
1 1 3, 64.98, 13
3 1 3, 87.36, 12
4 2 0, 86.69, 7